Diffraction record for Co6O5F7. The X-ray powder pattern is theoretical, not measured: it uses a structure optimized by DFT (PBE+U) and Cu Ka.
Kinematic intensities with the Lorentz-polarization factor, no thermal factor.

Top 10 peaks for 10° ≤ 2θ ≤ 90°, low angle first:
2θ/deg, intensity
25.9, 1000
28.0, 834
35.4, 960
38.5, 162
52.0, 612
53.2, 175
54.4, 234
54.6, 213
67.6, 177
67.7, 267

Atomic structure:
```
data_Co6O5F7
_chemical_formula_sum 'Co12 O10 F14'
_cell_length_a 6.365
_cell_length_b 6.891
_cell_length_c 9.064
_cell_angle_alpha 90.00
_cell_angle_beta 90.21
_cell_angle_gamma 90.00
_symmetry_space_group_name_H-M 'C 1 2 1'
_symmetry_Int_Tables_number 5
_symmetry_space_group_name_Hall 'C 2y'
loop_
_atom_site_label
_atom_site_type_symbol
_atom_site_fract_x
_atom_site_fract_y
_atom_site_fract_z
Co1 Co 0.000 0.000 0.000
Co2 Co 0.000 0.471 0.500
Co3 Co 0.002 0.969 0.657
Co4 Co 0.037 0.462 0.840
O1 O 0.000 0.289 0.000
O2 O 0.179 0.976 0.179
O3 O 0.192 0.968 0.499
F1 F 0.000 0.670 0.000
F2 F 0.005 0.662 0.668
F3 F 0.008 0.275 0.668
F4 F 0.212 0.974 0.818
```